# 1
Structure and simulated X-ray powder pattern of Tl4Hg7Bi (a DFT-relaxed cell (PBE, Alexandria); copper Kα).
No peak broadening, texture or thermal motion is included.

Structural model:
Lattice parameters (Å, degrees): 5.4397 5.4397 13.4008 90.00 90.00 120.00
Positions (direct):
Tl 0.3333 0.6667 0.1568
Tl 0.3333 0.6667 0.4186
Tl 0.6667 0.3333 0.5814
Tl 0.6667 0.3333 0.8432
Hg 0.0000 0.0000 0.2532
Hg 0.0000 0.0000 0.5000
Hg 0.0000 0.0000 0.7468
Hg 0.3333 0.6667 0.6801
Hg 0.3333 0.6667 0.9171
Hg 0.6667 0.3333 0.0829
Hg 0.6667 0.3333 0.3199
Bi 0.0000 0.0000 0.0000

Main lines, by intensity (10° ≤ 2θ ≤ 90°):
2θ 32.93, I 1000; 2θ 32.80, I 980; 2θ 58.75, I 578; 2θ 47.17, I 363; 2θ 58.48, I 177; 2θ 78.59, I 169; 2θ 78.38, I 155; 2θ 69.07, I 122

# 2
Structure and simulated X-ray powder pattern of Tl5HgBi2 (a DFT-relaxed cell (PBE, Alexandria); copper Kα).
No peak broadening, texture or thermal motion is included.

Structural model:
Lattice parameters (Å, degrees): 9.6540 9.6540 9.9472 99.22 99.22 33.46
Positions (direct):
Tl 0.0591 0.5578 0.6842
Tl 0.1833 0.6799 0.0610
Tl 0.2476 0.7524 0.7500
Tl 0.3201 0.8167 0.4390
Tl 0.4422 0.9409 0.8158
Tl 0.5578 0.0591 0.1842
Tl 0.6799 0.1833 0.5610
Tl 0.7524 0.2476 0.2500
Tl 0.8167 0.3201 0.9390
Tl 0.9409 0.4422 0.3158
Hg 0.0000 0.5000 0.0000
Hg 0.5000 0.0000 0.5000
Bi 0.1283 0.6306 0.3752
Bi 0.3694 0.8717 0.1248
Bi 0.6306 0.1283 0.8752
Bi 0.8717 0.3694 0.6248

Main lines, by intensity (10° ≤ 2θ ≤ 90°):
2θ 31.94, I 1000; 2θ 31.42, I 710; 2θ 32.21, I 333; 2θ 56.26, I 276; 2θ 57.26, I 254; 2θ 46.00, I 248; 2θ 56.93, I 136; 2θ 44.81, I 133